# Ba3SrCoCu3O12
Computed X-ray diffraction stick pattern, Cu Kα X-rays. Input: a structure optimized by DFT (PBE+U).

Crystal structure
Unit cell a=3.974 b=11.267 c=11.248 alpha=90.00 beta=90.00 gamma=90.00
Space group Amm2 (No. 38)
One atom of each set of equivalent atoms:
Ba1 0.000 0.000 0.000 x2
Ba2 0.000 0.247 0.752 x4
Sr1 0.000 0.000 0.506 x2
Co1 0.500 0.000 0.256 x2
Cu1 0.500 0.000 0.752 x2
Cu2 0.500 0.250 0.002 x4
O1 0.000 0.000 0.257 x2
O2 0.000 0.000 0.743 x2
O3 0.000 0.241 0.503 x4
O4 0.500 0.117 0.376 x4
O5 0.500 0.120 0.134 x4
O6 0.500 0.120 0.619 x4
O7 0.500 0.126 0.877 x4

Main lines, in order of rising 2θ (10° ≤ 2θ ≤ 90°):
| h k l | 2theta | I (rel.) |
| --- | --- | --- |
| 0 2 2 | 22.35 | 5 |
| 1 2 2 | 31.81 | 100 |
| 1 0 4 | 39.22 | 13 |
| 2 0 0 | 45.61 | 33 |
| 2 4 0 | 56.68 | 38 |
| 0 8 0 | 66.37 | 3 |
| 2 4 4 | 66.50 | 16 |
| 1 6 6 | 75.55 | 11 |
| 3 2 2 | 75.67 | 5 |
| 2 8 0 | 84.28 | 3 |